Structure and simulated PXRD pattern of FeSiAg2S4 (the PBE geometry in the Materials Project; λ = 1.5418 Å (Cu Kα)).
Peak positions follow from Bragg's law for the DFT cell and can differ from measured ones.

Main lines, low angle first (2θ from 15° to 90°):
2θ/deg	I (rel.)	(hkl)
26.3	985	0 1 2
26.9	521	0 2 0
27.7	1000	2 0 -2
29.7	696	1 1 1
29.9	729	1 1 -3
30.3	571	1 2 -1
46.1	401	0 0 4
47.1	668	0 3 2
50.1	403	3 1 -1
50.5	396	3 1 -5

Cell and atoms:
a = 6.446 Å, b = 6.639 Å, c = 10.136 Å
α = 90.00°, β = 129.03°, γ = 90.00°
Atoms (fractional coordinates):
Fe 0.000 0.184 0.000
Fe 0.000 0.816 0.500
Si 0.755 0.314 0.254
Si 0.755 0.686 0.754
Ag 0.258 0.351 0.760
Ag 0.258 0.649 0.260
Ag 0.492 0.180 0.507
Ag 0.492 0.820 0.007
S 0.074 0.156 0.481
S 0.074 0.844 0.981
S 0.403 0.300 0.237
S 0.403 0.700 0.737
S 0.668 0.182 0.030
S 0.668 0.818 0.530
S 0.869 0.375 0.769
S 0.869 0.625 0.269